[1]
Starting from DFT lattice parameters and positions (PBE), the PXRD pattern of MgAlHg2 was calculated for Cu Kα.
No peak broadening, texture or thermal motion is included.

Structural model:
Cell: 3.152 3.152 8.627 Å, 90.00 90.00 90.00°
Space group P4mm (No. 99)
Inequivalent atoms, fractional coordinates:
Mg (0.000, 0.000, 0.000) x1
Al (0.500, 0.500, 0.233) x1
Hg (0.000, 0.000, 0.471) x1
Hg (0.500, 0.500, 0.759) x1

Most intense lines, 2θ from 10° to 90°, in order of rising 2θ:
2theta  I_rel  (hkl)
10.3  90  0 0 1
30.2  60  1 0 1
31.1  20  0 0 3
35.3  100  1 0 2
40.5  36  1 1 0
41.9  27  0 0 4
59.6  24  1 1 4
70.2  28  2 1 2

---

[2]
Starting from DFT lattice parameters and positions (PBE), the PXRD pattern of La4PdSI2 was calculated for Cu Kα.
No peak broadening, texture or thermal motion is included.

Structural model:
Cell: 7.562 4.171 8.328 Å, 90.00 107.31 90.00°
Space group P2/m (No. 10)
Inequivalent atoms, fractional coordinates:
La (0.217, 0.000, 0.201) x2
La (0.269, 0.500, 0.803) x2
Pd (0.500, 0.000, 0.000) x1
S (0.000, 0.500, 0.000) x1
I (0.000, 0.000, 0.500) x1
I (0.500, 0.500, 0.500) x1

Most intense lines, 2θ from 10° to 90°, in order of rising 2θ:
2theta  I_rel  (hkl)
28.0  57  2 0 -2
28.6  100  1 1 1
38.3  14  2 0 2
39.0  33  1 1 -3
41.9  39  3 1 -1
43.4  19  0 2 0
52.4  19  2 2 -2
56.1  14  1 1 4

---

[3]
Starting from DFT lattice parameters and positions (PBE), the PXRD pattern of CoHg was calculated for Cu Kα.
No peak broadening, texture or thermal motion is included.

Structural model:
Cell: 8.312 2.879 9.330 Å, 90.00 107.00 90.00°
Space group C2/m (No. 12)
Inequivalent atoms, fractional coordinates:
Co (0.000, 0.000, 0.000) x2
Co (0.179, 0.500, 0.903) x4
Hg (0.000, 0.000, 0.500) x2
Hg (0.157, 0.500, 0.269) x4

Most intense lines, 2θ from 10° to 90°, in order of rising 2θ:
2theta  I_rel  (hkl)
27.1  66  2 0 1
31.9  68  2 0 -3
33.6  56  1 1 -1
34.3  47  2 0 2
37.1  100  1 1 -2
44.1  37  4 0 -2
46.6  78  3 1 0
47.6  47  1 1 3

---

[4]
Starting from DFT lattice parameters and positions (PBE), the PXRD pattern of AcNdGaHg was calculated for Cu Kα.
No peak broadening, texture or thermal motion is included.

Structural model:
Cell: 7.788 7.788 7.788 Å, 90.00 90.00 90.00°
Space group F-43m (No. 216)
Inequivalent atoms, fractional coordinates:
Ac (0.000, 0.000, 0.000) x4
Nd (0.000, 0.000, 0.500) x4
Ga (0.250, 0.250, 0.750) x4
Hg (0.250, 0.250, 0.250) x4

Most intense lines, 2θ from 10° to 90°, in order of rising 2θ:
2theta  I_rel  (hkl)
19.7  12  1 1 1
32.5  100  2 2 0
38.3  7  3 1 1
46.6  19  4 0 0
58.0  39  4 2 2
68.1  12  4 4 0
77.5  17  6 2 0
86.6  4  4 4 4